[1]
# Li5SbS
Theoretical X-ray diffraction stick pattern, Cu Kα X-rays. Input: a cell relaxed with GGA-PBE.

Crystal structure
```
data_Li5SbS
_chemical_formula_sum 'Li20 Sb4 S4'
_cell_length_a 4.509
_cell_length_b 5.822
_cell_length_c 18.945
_cell_angle_alpha 90.00
_cell_angle_beta 90.00
_cell_angle_gamma 90.00
_space_group_name_H-M_alt 'P 21 21 21'
_space_group_IT_number 19
loop_
_space_group_symop_operation_xyz
'x,y,z'
'-x+1/2,-y,z+1/2'
'x+1/2,-y+1/2,-z'
'-x,y+1/2,-z+1/2'
loop_
_atom_site_label
_atom_site_fract_x
_atom_site_fract_y
_atom_site_fract_z
Li1 0.242 0.056 0.479
Li2 0.243 0.694 0.583
Li3 0.244 0.183 0.618
Li4 0.246 0.250 0.299
Li5 0.249 0.768 0.305
Sb1 0.243 0.520 0.433
S1 0.247 0.485 0.700
```

Most intense lines, 2θ = 10–90°, in order of falling intensity:
- 24.22°, intensity 100, (0 1 4)
- 24.98°, intensity 92, (1 1 0)
- 27.31°, intensity 65, (1 0 4)
- 41.56°, intensity 56, (1 2 4)
- 38.03°, intensity 53, (0 0 8)
- 17.88°, intensity 43, (0 1 2)
- 46.01°, intensity 34, (1 1 8)
- 47.31°, intensity 31, (2 1 4)
- 21.83°, intensity 27, (1 0 2)
- 30.72°, intensity 23, (0 2 0)



[2]
# Pr2Ti3Cl2O8
Theoretical X-ray diffraction stick pattern, Cu Kα X-rays. Input: a cell relaxed with GGA-PBE.

Crystal structure
```
data_Pr2Ti3Cl2O8
_chemical_formula_sum 'Pr8 Ti12 Cl8 O32'
_cell_length_a 14.966
_cell_length_b 11.759
_cell_length_c 5.076
_cell_angle_alpha 90.00
_cell_angle_beta 90.00
_cell_angle_gamma 90.00
_space_group_name_H-M_alt 'P b c n'
_space_group_IT_number 60
loop_
_space_group_symop_operation_xyz
'x,y,z'
'-x,-y,-z'
'-x+1/2,-y+1/2,z+1/2'
'x+1/2,y+1/2,-z+1/2'
'x+1/2,-y+1/2,-z'
'-x+1/2,y+1/2,z'
'-x,y,-z+1/2'
'x,-y,z+1/2'
loop_
_atom_site_label
_atom_site_fract_x
_atom_site_fract_y
_atom_site_fract_z
Pr1 0.162 0.138 0.021
Ti1 0.000 0.409 0.750
Ti2 0.163 0.424 0.128
Cl1 0.076 0.102 0.517
O1 0.077 0.455 0.438
O2 0.081 0.319 0.925
O3 0.221 0.300 0.247
O4 0.237 0.469 0.828
```

Most intense lines, 2θ = 10–90°, in order of falling intensity:
- 22.47°, intensity 100, (2 1 1)
- 30.64°, intensity 57, (4 1 1)
- 23.91°, intensity 45, (1 2 1)
- 37.67°, intensity 44, (4 3 1)
- 38.11°, intensity 43, (5 2 1)
- 28.97°, intensity 41, (3 3 0)
- 30.41°, intensity 35, (0 4 0)
- 11.83°, intensity 31, (2 0 0)
- 43.04°, intensity 26, (4 0 2)
- 19.33°, intensity 25, (3 1 0)